Entry 1:
Starting from a structure optimized by DFT (GGA-PBE), the powder XRD pattern of CdInGaSn was computed for λ = 1.5418 Å (Cu Kα).
Lines closer than 0.1° are merged.

Largest 10 diffraction maxima, by angle, 2θ from 10° to 80°:
| 2θ (°) | I_rel |
| --- | --- |
| 28.58 | 5 |
| 33.79 | 100 |
| 38.04 | 38 |
| 41.49 | 12 |
| 54.89 | 13 |
| 57.54 | 18 |
| 59.89 | 4 |
| 66.03 | 28 |
| 70.78 | 8 |
| 71.08 | 10 |

Structural model:
Cell lengths 3.3454, 3.3454, 8.7058 Å; angles 90.00, 90.00, 90.00 degrees
Atoms (fractional coordinates):
Cd 0.0000 0.0000 0.0000
In 0.5000 0.5000 0.7380
Ga 0.5000 0.5000 0.2230
Sn 0.0000 0.0000 0.4572

---

Entry 2:
Starting from a structure optimized by DFT (GGA-PBE), the powder XRD pattern of Sr2Cd3In4Ga was computed for λ = 1.5418 Å (Cu Kα).
Lines closer than 0.1° are merged.

Largest 10 diffraction maxima, by angle, 2θ from 10° to 80°:
| 2θ (°) | I_rel |
| --- | --- |
| 20.03 | 20 |
| 28.72 | 45 |
| 30.30 | 100 |
| 37.88 | 69 |
| 39.69 | 51 |
| 41.25 | 33 |
| 48.23 | 22 |
| 54.65 | 23 |
| 57.24 | 24 |
| 63.78 | 23 |

Structural model:
Cell lengths 4.7498, 4.7498, 12.3314 Å; angles 90.00, 90.00, 90.00 degrees
Atoms (fractional coordinates):
Sr 0.0000 0.5000 0.2387
Sr 0.5000 0.0000 0.7613
Cd 0.0000 0.0000 0.0000
Cd 0.0000 0.5000 0.6436
Cd 0.5000 0.0000 0.3564
In 0.0000 0.0000 0.5000
In 0.0000 0.5000 0.8690
In 0.5000 0.0000 0.1310
In 0.5000 0.5000 0.5000
Ga 0.5000 0.5000 0.0000

---

Entry 3:
Starting from a structure optimized by DFT (GGA-PBE), the powder XRD pattern of La2CdGaIr was computed for λ = 1.5418 Å (Cu Kα).
Lines closer than 0.1° are merged.

Largest 10 diffraction maxima, by angle, 2θ from 10° to 80°:
| 2θ (°) | I_rel |
| --- | --- |
| 11.78 | 34 |
| 14.02 | 45 |
| 29.96 | 31 |
| 30.67 | 100 |
| 30.86 | 36 |
| 31.35 | 35 |
| 34.39 | 77 |
| 37.02 | 58 |
| 38.98 | 59 |
| 41.00 | 41 |

Structural model:
Cell lengths 7.5143, 4.6214, 7.9746 Å; angles 90.00, 109.61, 90.00 degrees
Atoms (fractional coordinates):
La 0.1395 0.2500 0.3384
La 0.2740 0.2500 0.9454
La 0.7260 0.7500 0.0546
La 0.8605 0.7500 0.6616
Cd 0.3307 0.7500 0.6513
Cd 0.6693 0.2500 0.3487
Ga 0.4501 0.7500 0.3191
Ga 0.5499 0.2500 0.6809
Ir 0.1254 0.7500 0.0898
Ir 0.8746 0.2500 0.9102

---

Entry 4:
Starting from a structure optimized by DFT (GGA-PBE), the powder XRD pattern of KCd2Ga4 was computed for λ = 1.5418 Å (Cu Kα).
Lines closer than 0.1° are merged.

Largest 10 diffraction maxima, by angle, 2θ from 10° to 80°:
| 2θ (°) | I_rel |
| --- | --- |
| 10.40 | 19 |
| 28.47 | 18 |
| 30.39 | 100 |
| 32.86 | 31 |
| 39.58 | 34 |
| 41.80 | 29 |
| 42.68 | 18 |
| 43.01 | 65 |
| 54.16 | 14 |
| 58.92 | 20 |

Structural model:
Cell lengths 4.3225, 4.5535, 17.0115 Å; angles 90.00, 90.00, 90.00 degrees
Atoms (fractional coordinates):
K 0.0000 0.0000 0.0000
K 0.5000 0.5000 0.5000
Cd 0.0000 0.5000 0.3185
Cd 0.0000 0.5000 0.6815
Cd 0.5000 0.0000 0.1815
Cd 0.5000 0.0000 0.8185
Ga 0.0000 0.0000 0.4235
Ga 0.0000 0.0000 0.5765
Ga 0.0000 0.5000 0.1598
Ga 0.0000 0.5000 0.8402
Ga 0.5000 0.0000 0.3402
Ga 0.5000 0.0000 0.6598
Ga 0.5000 0.5000 0.0765
Ga 0.5000 0.5000 0.9235

---

Entry 5:
Starting from a structure optimized by DFT (GGA-PBE), the powder XRD pattern of KCd3Ga3 was computed for λ = 1.5418 Å (Cu Kα).
Lines closer than 0.1° are merged.

Largest 10 diffraction maxima, by angle, 2θ from 10° to 80°:
| 2θ (°) | I_rel |
| --- | --- |
| 11.53 | 26 |
| 29.31 | 56 |
| 30.83 | 34 |
| 35.09 | 17 |
| 35.79 | 36 |
| 39.55 | 100 |
| 47.95 | 19 |
| 62.95 | 16 |
| 66.84 | 20 |
| 74.58 | 19 |

Structural model:
Cell lengths 8.8594, 8.8594, 5.0172 Å; angles 90.00, 90.00, 120.00 degrees
Atoms (fractional coordinates):
K 0.3333 0.6667 0.2500
K 0.6667 0.3333 0.7500
Cd 0.1161 0.2378 0.7500
Cd 0.1216 0.8839 0.7500
Cd 0.2378 0.1216 0.2500
Cd 0.7622 0.8784 0.7500
Cd 0.8784 0.1161 0.2500
Cd 0.8839 0.7622 0.2500
Ga 0.0875 0.5454 0.7500
Ga 0.4546 0.5421 0.7500
Ga 0.4579 0.9125 0.7500
Ga 0.5421 0.0875 0.2500
Ga 0.5454 0.4579 0.2500
Ga 0.9125 0.4546 0.2500

---

Entry 6:
Starting from a structure optimized by DFT (GGA-PBE), the powder XRD pattern of K3Cd9Ga2 was computed for λ = 1.5418 Å (Cu Kα).
Lines closer than 0.1° are merged.

Largest 10 diffraction maxima, by angle, 2θ from 10° to 80°:
| 2θ (°) | I_rel |
| --- | --- |
| 17.30 | 44 |
| 19.29 | 52 |
| 30.02 | 58 |
| 30.69 | 92 |
| 31.42 | 57 |
| 33.78 | 65 |
| 34.85 | 100 |
| 36.87 | 44 |
| 39.76 | 50 |
| 40.14 | 96 |

Structural model:
Cell lengths 9.2951, 9.2951, 9.2951 Å; angles 147.84, 113.06, 76.22 degrees
Atoms (fractional coordinates):
K 0.0000 0.0000 0.0000
K 0.2935 0.2935 0.0000
K 0.7065 0.7065 0.0000
Cd 0.0116 0.6573 0.3543
Cd 0.1538 0.8631 0.2906
Cd 0.3030 0.6573 0.6457
Cd 0.4275 0.1369 0.2906
Cd 0.5000 0.0000 0.5000
Cd 0.5725 0.8631 0.7094
Cd 0.6970 0.3427 0.3543
Cd 0.8462 0.1369 0.7094
Cd 0.9884 0.3427 0.6457
Ga 0.3247 0.5000 0.8247
Ga 0.6753 0.5000 0.1753

---

Entry 7:
Starting from a structure optimized by DFT (GGA-PBE), the powder XRD pattern of LaCdGa4 was computed for λ = 1.5418 Å (Cu Kα).
Lines closer than 0.1° are merged.

Largest 10 diffraction maxima, by angle, 2θ from 10° to 80°:
| 2θ (°) | I_rel |
| --- | --- |
| 22.54 | 13 |
| 29.47 | 20 |
| 31.21 | 100 |
| 33.16 | 31 |
| 35.20 | 39 |
| 36.01 | 19 |
| 43.41 | 29 |
| 46.08 | 11 |
| 51.31 | 11 |
| 57.60 | 17 |

Structural model:
Cell lengths 8.1626, 15.7497, 4.1692 Å; angles 90.00, 90.00, 90.00 degrees
Atoms (fractional coordinates):
La 0.1286 0.1498 0.0000
La 0.3714 0.6498 0.0000
La 0.6286 0.3502 0.0000
La 0.8714 0.8502 0.0000
Cd 0.1392 0.4095 0.0000
Cd 0.3608 0.9095 0.0000
Cd 0.6392 0.0905 0.0000
Cd 0.8608 0.5905 0.0000
Ga 0.0167 0.6961 0.5000
Ga 0.1187 0.5496 0.5000
Ga 0.1290 0.9644 0.5000
Ga 0.2087 0.8106 0.5000
Ga 0.2913 0.3106 0.5000
Ga 0.3710 0.4644 0.5000
Ga 0.3813 0.0496 0.5000
Ga 0.4833 0.1961 0.5000
Ga 0.5167 0.8039 0.5000
Ga 0.6187 0.9504 0.5000
Ga 0.6290 0.5356 0.5000
Ga 0.7087 0.6894 0.5000
Ga 0.7913 0.1894 0.5000
Ga 0.8710 0.0356 0.5000
Ga 0.8813 0.4504 0.5000
Ga 0.9833 0.3039 0.5000

---

Entry 8:
Starting from a structure optimized by DFT (GGA-PBE), the powder XRD pattern of La8Cd2Ga was computed for λ = 1.5418 Å (Cu Kα).
Lines closer than 0.1° are merged.

Largest 10 diffraction maxima, by angle, 2θ from 10° to 80°:
| 2θ (°) | I_rel |
| --- | --- |
| 26.34 | 16 |
| 30.58 | 39 |
| 31.14 | 91 |
| 31.44 | 100 |
| 32.34 | 50 |
| 44.58 | 17 |
| 45.10 | 27 |
| 55.39 | 19 |
| 56.14 | 18 |
| 57.11 | 18 |

Structural model:
Cell lengths 8.9441, 8.9441, 8.9771 Å; angles 119.43, 119.43, 36.06 degrees
Atoms (fractional coordinates):
La 0.0729 0.0729 0.2198
La 0.1316 0.1316 0.6814
La 0.3217 0.3217 0.5435
La 0.4114 0.4114 0.0649
La 0.5886 0.5886 0.9351
La 0.6783 0.6783 0.4565
La 0.8684 0.8684 0.3186
La 0.9271 0.9271 0.7802
Cd 0.2283 0.2283 0.1103
Cd 0.7717 0.7717 0.8897
Ga 0.5000 0.5000 0.5000

---

Number 1 is which compound?
CdInGaSn

---

Which formula does entry 6 have?
K3Cd9Ga2